Record 1
Structure and computed X-ray powder pattern of LiTi2S4 (a DFT-relaxed cell (GGA-PBE, the Materials Project); copper Kα).
Lines closer than 0.1° are merged.

Main lines, low angle first (2θ = 5–70°):
| 2theta | I_rel |
| --- | --- |
| 14.2 | 100 |
| 33.4 | 78 |
| 33.7 | 39 |
| 41.8 | 37 |
| 42.2 | 20 |
| 42.4 | 17 |
| 53.4 | 11 |
| 53.5 | 12 |
| 53.7 | 24 |
| 54.0 | 21 |
| 55.6 | 9 |
| 64.8 | 10 |

Structure:
```
LiTi2S4
1.0
6.881 -1.712 0.000
6.881 1.712 0.000
-2.459 0.000 5.373
Li Ti S
1 2 4
Cartesian
0.000 0.000 0.000
2.850 0.000 1.402
8.452 0.000 3.972
0.674 0.000 2.510
4.950 0.000 0.140
6.352 0.000 5.233
10.627 0.000 2.863
```


Record 2
Structure and computed X-ray powder pattern of LiTi3S6 (a DFT-relaxed cell (GGA-PBE, the Materials Project); copper Kα).
Lines closer than 0.1° are merged.

Main lines, low angle first (2θ = 5–70°):
| 2theta | I_rel |
| --- | --- |
| 8.2 | 21 |
| 12.3 | 100 |
| 32.7 | 48 |
| 36.8 | 11 |
| 39.4 | 31 |
| 45.5 | 16 |
| 48.9 | 7 |
| 53.6 | 18 |
| 55.2 | 10 |
| 56.2 | 11 |
| 64.2 | 6 |
| 68.5 | 5 |

Structure:
```
LiTi3S6
1.0
3.421 0.000 0.000
-1.711 2.963 0.000
0.000 0.000 21.582
Li Ti S
1 3 6
Cartesian
0.000 0.000 0.000
0.000 0.000 3.149
0.000 0.000 10.791
0.000 0.000 18.433
0.000 1.975 1.636
0.000 1.975 9.372
0.000 1.975 17.045
1.711 0.988 4.537
1.711 0.988 12.210
1.711 0.988 19.946
```


Repeat the first record exactly.
Structure and computed X-ray powder pattern of LiTi2S4 (a DFT-relaxed cell (GGA-PBE, the Materials Project); copper Kα).
Lines closer than 0.1° are merged.

Main lines, low angle first (2θ = 5–70°):
| 2theta | I_rel |
| --- | --- |
| 14.2 | 100 |
| 33.4 | 78 |
| 33.7 | 39 |
| 41.8 | 37 |
| 42.2 | 20 |
| 42.4 | 17 |
| 53.4 | 11 |
| 53.5 | 12 |
| 53.7 | 24 |
| 54.0 | 21 |
| 55.6 | 9 |
| 64.8 | 10 |

Structure:
```
LiTi2S4
1.0
6.881 -1.712 0.000
6.881 1.712 0.000
-2.459 0.000 5.373
Li Ti S
1 2 4
Cartesian
0.000 0.000 0.000
2.850 0.000 1.402
8.452 0.000 3.972
0.674 0.000 2.510
4.950 0.000 0.140
6.352 0.000 5.233
10.627 0.000 2.863
```